Structure and calculated X-ray diffraction stick pattern of TaTi6O3 (a cell relaxed with PBE; Cu Kα X-rays).
Neutral-atom scattering factors, no anomalous dispersion.

Main lines, sorted by position (2θ = 10–80°):
- hkl 0 0 3, 17.99 deg, I 44.1
- hkl 1 0 1, 19.38 deg, I 61.7
- hkl 0 1 2, 22.02 deg, I 32.4
- hkl 1 0 4, 30.47 deg, I 35.8
- hkl 0 0 6, 36.45 deg, I 47.6
- hkl 2 -1 3, 37.11 deg, I 100.0
- hkl 0 2 1, 37.84 deg, I 59.6
- hkl 2 0 2, 39.34 deg, I 61.4
- hkl 0 2 4, 44.91 deg, I 56.0
- hkl 2 0 5, 48.75 deg, I 33.5
- hkl 3 0 0, 57.38 deg, I 24.1
- hkl 4 -2 3, 70.33 deg, I 30.0

Structure:
```
data_TaTi6O3
_space_group_name_H-M_alt 'R 3'
_space_group_IT_number 146
_space_group_name_Hall 'R 3'
_cell_length_a 5.5629
_cell_length_b 5.5629
_cell_length_c 14.7915
_cell_angle_alpha 90.00
_cell_angle_beta 90.00
_cell_angle_gamma 120.00
loop_
_atom_site_label
_atom_site_type_symbol
_atom_site_fract_x
_atom_site_fract_y
_atom_site_fract_z
Ta1 Ta 0.0000 0.0000 0.0000
Ti1 Ti 0.0084 0.3232 0.8295
Ti2 Ti 0.1310 0.7914 0.3238
O1 O 0.0000 0.0000 0.2355
O2 O 0.0000 0.0000 0.5604
O3 O 0.0000 0.0000 0.7519
```